Starting from the GGA-PBE geometry in Alexandria, the powder diffractogram of MnHgC4S4N4 was computed for λ = 1.5418 Å (Cu Kα).

Atomic structure:
```
MnHgC4S4N4
1.0
-5.664 5.664 2.643
5.664 -5.664 2.643
5.664 5.664 -2.643
Mn Hg C S N
1 1 4 4 4
direct
0.000 0.000 0.000 Mn
0.750 0.250 0.500 Hg
0.123 0.282 0.713 C
0.569 0.409 0.287 C
0.591 0.877 0.160 C
0.718 0.431 0.840 C
0.190 0.427 0.566 S
0.376 0.810 0.237 S
0.573 0.139 0.763 S
0.861 0.624 0.434 S
0.080 0.180 0.820 N
0.360 0.260 0.180 N
0.740 0.920 0.101 N
0.820 0.640 0.899 N
```

Top 10 peaks for 15° ≤ 2θ ≤ 90°, in order of rising 2θ:
2theta, I (rel.)
15.6, 98
18.5, 88
22.2, 24
24.3, 100
29.1, 51
33.2, 49
35.4, 27
36.9, 28
42.5, 52
43.5, 35